Record 1
# Ac2AlBiO6
Calculated powder diffraction line list, CuKα. Input: DFT lattice parameters and positions (GGA-PBE).
Intensities are scaled so that the largest is 100.

Cell and atoms:
Unit cell a=5.623 b=5.623 c=5.074 alpha=90.00 beta=90.00 gamma=90.00
Element x y z (fractional)
Ac 0.000 0.500 0.000
Ac 0.500 0.000 0.000
Al 0.000 0.000 0.576
Bi 0.500 0.500 0.554
O 0.000 0.000 0.221
O 0.227 0.227 0.699
O 0.227 0.773 0.699
O 0.500 0.500 0.086
O 0.773 0.227 0.699
O 0.773 0.773 0.699

Main lines, in order of falling intensity (5 to 70 degrees two-theta):
2theta, I/Imax
28.52, 100
31.83, 38
54.70, 34
48.32, 26
45.63, 20
15.76, 13

Record 2
# Ce2GeC
Calculated powder diffraction line list, CuKα. Input: DFT lattice parameters and positions (GGA-PBE).
Intensities are scaled so that the largest is 100.

Cell and atoms:
Unit cell a=7.047 b=4.569 c=10.520 alpha=90.00 beta=90.00 gamma=90.00
Element x y z (fractional)
Ce 0.076 0.250 0.208
Ce 0.172 0.250 0.552
Ce 0.328 0.750 0.052
Ce 0.424 0.750 0.708
Ce 0.576 0.250 0.292
Ce 0.672 0.250 0.948
Ce 0.828 0.750 0.448
Ce 0.924 0.750 0.792
Ge 0.181 0.250 0.858
Ge 0.319 0.750 0.358
Ge 0.681 0.250 0.642
Ge 0.819 0.750 0.142
C 0.079 0.750 0.600
C 0.421 0.250 0.100
C 0.579 0.750 0.900
C 0.921 0.250 0.400

Main lines, in order of falling intensity (5 to 70 degrees two-theta):
2theta, I/Imax
32.08, 100
32.18, 73
34.67, 66
33.22, 49
39.45, 49
36.14, 42

Record 3
# Zr2RhSe
Calculated powder diffraction line list, CuKα. Input: DFT lattice parameters and positions (GGA-PBE).
Intensities are scaled so that the largest is 100.

Cell and atoms:
Unit cell a=3.776 b=3.880 c=5.549 alpha=90.00 beta=90.00 gamma=90.00
Element x y z (fractional)
Zr 0.000 0.000 0.000
Zr 0.500 0.500 0.500
Rh 0.000 0.000 0.500
Se 0.500 0.500 0.000

Main lines, in order of falling intensity (5 to 70 degrees two-theta):
2theta, I/Imax
33.10, 100
46.88, 92
32.26, 54
58.01, 19
59.19, 18
48.19, 17

Record 4
# TlCu2IF2
Calculated powder diffraction line list, CuKα. Input: DFT lattice parameters and positions (GGA-PBE).
Intensities are scaled so that the largest is 100.

Cell and atoms:
Unit cell a=6.651 b=5.067 c=8.438 alpha=90.00 beta=111.91 gamma=90.00
Element x y z (fractional)
Tl 0.159 0.250 0.421
Tl 0.841 0.750 0.579
Cu 0.367 0.501 0.856
Cu 0.367 0.999 0.856
Cu 0.633 0.001 0.144
Cu 0.633 0.499 0.144
I 0.268 0.750 0.096
I 0.732 0.250 0.904
F 0.103 0.250 0.710
F 0.267 0.750 0.637
F 0.733 0.250 0.363
F 0.897 0.750 0.290

Main lines, in order of falling intensity (5 to 70 degrees two-theta):
2theta, I/Imax
22.86, 100
28.82, 62
46.70, 35
21.40, 32
27.78, 31
31.86, 30

Record 5
# Ho3TmIr3
Calculated powder diffraction line list, CuKα. Input: DFT lattice parameters and positions (GGA-PBE).
Intensities are scaled so that the largest is 100.

Cell and atoms:
Unit cell a=5.872 b=5.872 c=5.872 alpha=109.39 beta=109.39 gamma=109.39
Element x y z (fractional)
Ho 0.000 0.500 0.500
Ho 0.500 0.000 0.500
Ho 0.500 0.500 0.000
Tm 0.000 0.000 0.000
Ir 0.000 0.000 0.500
Ir 0.000 0.500 0.000
Ir 0.500 0.000 0.000

Main lines, in order of falling intensity (5 to 70 degrees two-theta):
2theta, I/Imax
37.41, 100
37.54, 99
67.68, 54
54.04, 35
18.48, 28
67.41, 18

Record 6
# TlRuSe2O8
Calculated powder diffraction line list, CuKα. Input: DFT lattice parameters and positions (GGA-PBE).
Intensities are scaled so that the largest is 100.

Cell and atoms:
Unit cell a=5.123 b=5.123 c=8.357 alpha=93.92 beta=93.92 gamma=65.37
Element x y z (fractional)
Tl 0.000 0.000 0.000
Ru 0.000 0.000 0.500
Se 0.369 0.369 0.686
Se 0.631 0.631 0.314
O 0.237 0.237 0.522
O 0.245 0.740 0.675
O 0.260 0.755 0.325
O 0.308 0.308 0.868
O 0.692 0.692 0.132
O 0.740 0.245 0.675
O 0.755 0.260 0.325
O 0.763 0.763 0.478

Main lines, in order of falling intensity (5 to 70 degrees two-theta):
2theta, I/Imax
28.12, 100
22.30, 63
35.28, 56
20.67, 48
29.41, 47
19.08, 43

Record 7
# BC2
Calculated powder diffraction line list, CuKα. Input: DFT lattice parameters and positions (GGA-PBE).
Intensities are scaled so that the largest is 100.

Cell and atoms:
Unit cell a=3.731 b=2.593 c=8.088 alpha=90.00 beta=90.22 gamma=90.00
Element x y z (fractional)
B 0.121 0.000 0.257
B 0.316 0.500 0.878
B 0.684 0.500 0.122
B 0.879 0.000 0.743
C 0.116 0.000 0.925
C 0.129 0.000 0.574
C 0.369 0.500 0.579
C 0.403 0.500 0.264
C 0.597 0.500 0.736
C 0.631 0.500 0.421
C 0.871 0.000 0.426
C 0.884 0.000 0.075

Main lines, in order of falling intensity (5 to 70 degrees two-theta):
2theta, I/Imax
42.45, 100
41.39, 61
41.24, 50
10.94, 33
26.34, 13
69.76, 11

Record 8
# Pm12TlNi6
Calculated powder diffraction line list, CuKα. Input: DFT lattice parameters and positions (GGA-PBE).
Intensities are scaled so that the largest is 100.

Cell and atoms:
Unit cell a=8.653 b=8.653 c=8.653 alpha=109.47 beta=109.47 gamma=109.47
Element x y z (fractional)
Pm 0.119 0.813 0.306
Pm 0.187 0.306 0.493
Pm 0.187 0.694 0.881
Pm 0.306 0.119 0.813
Pm 0.306 0.493 0.187
Pm 0.493 0.187 0.306
Pm 0.507 0.813 0.694
Pm 0.694 0.507 0.813
Pm 0.694 0.881 0.187
Pm 0.813 0.306 0.119
Pm 0.813 0.694 0.507
Pm 0.881 0.187 0.694
Tl 0.000 0.000 0.000
Ni 0.121 0.621 0.500
Ni 0.379 0.500 0.879
Ni 0.500 0.121 0.621
Ni 0.500 0.879 0.379
Ni 0.621 0.500 0.121
Ni 0.879 0.379 0.500

Main lines, in order of falling intensity (5 to 70 degrees two-theta):
2theta, I/Imax
33.56, 100
28.25, 43
31.01, 40
56.80, 35
53.48, 32
46.34, 24